Record 1
The following is a theoretical PXRD pattern of Nb8Mo. It was derived from a PBE-relaxed structure, using a wavelength of 1.5418 Å.
Lines closer than 0.1° are merged.

The 7 most intense peaks (15° ≤ 2θ ≤ 90°), by angle:
two_theta	I/Imax	h k l
38.65	100	3 3 0
55.74	11	6 0 0
55.94	6	0 0 2
69.90	22	6 3 1
70.03	11	3 3 2
82.76	3	6 6 0
82.94	7	6 0 2

Structure:
Lattice parameters (Å, degrees): 9.8952 9.8952 3.2872 90.00 90.00 90.00
Space group I4/mmm (No. 139)
Symmetry-distinct sites (fractional):
Nb1 0.0000 0.3332 0.0000 [8 per cell]
Nb2 0.1633 0.1633 0.5000 [8 per cell]
Mo1 0.0000 0.0000 0.0000 [2 per cell]



Record 2
The following is a theoretical PXRD pattern of NdPN3. It was derived from a PBE-relaxed structure, using a wavelength of 1.5418 Å.
Lines closer than 0.1° are merged.

The 10 most intense peaks (15° ≤ 2θ ≤ 90°), by angle:
two_theta	I/Imax	h k l
25.73	100	1 0 1
32.29	55	1 1 0
35.95	25	0 0 2
41.74	50	2 0 1
49.09	34	1 1 2
53.74	28	1 2 1
57.59	12	3 0 0
58.67	11	1 0 3
69.79	14	3 0 2
79.00	12	2 2 2

Structure:
Lattice parameters (Å, degrees): 5.5441 5.5441 4.9966 90.00 90.00 120.00
Space group P6_3/m (No. 176)
Symmetry-distinct sites (fractional):
Nd1 0.3333 0.6667 0.2500 [2 per cell]
P1 0.0000 0.0000 0.2500 [2 per cell]
N1 0.1141 0.3271 0.7500 [6 per cell]



Record 3
The following is a theoretical PXRD pattern of RbLi2BrCl2. It was derived from a PBE-relaxed structure, using a wavelength of 1.5418 Å.
Lines closer than 0.1° are merged.

The 10 most intense peaks (15° ≤ 2θ ≤ 90°), by angle:
two_theta	I/Imax	h k l
18.49	28	1 0 1
20.73	44	1 1 -1
23.92	27	1 1 1
26.35	86	0 1 2
26.67	29	1 1 -2
28.59	32	2 0 -2
29.40	100	2 1 0
30.36	50	0 2 0
42.20	30	2 2 -2
51.55	19	0 3 2

Structure:
Lattice parameters (Å, degrees): 7.3454 5.8885 8.5596 90.00 105.09 90.00
Space group P2_1/m (No. 11)
Symmetry-distinct sites (fractional):
Rb1 0.1711 0.2500 0.3638 [2 per cell]
Li1 0.3568 0.0015 0.8217 [4 per cell]
Br1 0.3496 0.7500 0.0668 [2 per cell]
Cl1 0.1063 0.2500 0.7388 [2 per cell]
Cl2 0.3734 0.7500 0.6195 [2 per cell]



Record 4
The following is a theoretical PXRD pattern of Y3BeSe6. It was derived from a PBE-relaxed structure, using a wavelength of 1.5418 Å.
Lines closer than 0.1° are merged.

The 10 most intense peaks (15° ≤ 2θ ≤ 90°), by angle:
two_theta	I/Imax	h k l
17.27	36	1 1 1
24.49	57	2 2 1
28.06	26	3 1 1
30.07	30	3 3 0
33.36	100	3 3 1
37.62	87	3 1 2
38.27	82	0 4 2
39.56	52	3 5 0
47.62	32	6 0 0
62.68	37	6 4 2

Structure:
Lattice parameters (Å, degrees): 11.4567 14.1937 6.2806 90.00 90.00 90.00
Space group Cmc2_1 (No. 36)
Symmetry-distinct sites (fractional):
Y1 0.0000 0.1256 0.0000 [4 per cell]
Y2 0.1717 0.3925 0.9224 [8 per cell]
Be1 0.0000 0.3023 0.3621 [4 per cell]
Se1 0.0000 0.2824 0.7120 [4 per cell]
Se2 0.0000 0.4525 0.2434 [4 per cell]
Se3 0.1592 0.0141 0.7025 [8 per cell]
Se4 0.1627 0.2402 0.2210 [8 per cell]